# 1
Calculated powder diffractogram of Li2Mn3SnO8 for CuKα, from DFT lattice parameters and positions (GGA+U).
No peak broadening, texture or thermal motion is included.

Largest 10 diffraction maxima, low angle first, 10° ≤ 2θ ≤ 90°:
18.04 deg, I 100; 33.62 deg, I 12; 34.63 deg, I 13; 35.28 deg, I 28; 36.55 deg, I 13; 40.20 deg, I 20; 43.02 deg, I 32; 59.47 deg, I 12; 61.19 deg, I 13; 63.31 deg, I 10

Cell: 6.0235 6.0707 10.2951 Å, 87.86 73.93 62.07°
Positions (direct):
Li (0.1324, 0.4461, 0.3154)
Li (0.1343, 0.9468, 0.8155)
Li (0.8657, 0.0532, 0.1845)
Li (0.8676, 0.5539, 0.6846)
Mn (0.5000, 0.0000, 0.0000)
Mn (0.5000, 0.0000, 0.5000)
Mn (0.5003, 0.2517, 0.7505)
Mn (0.5000, 0.5000, 0.0000)
Mn (0.5000, 0.5000, 0.5000)
Mn (0.4997, 0.7483, 0.2495)
Sn (0.0000, 0.0000, 0.5000)
Sn (0.0000, 0.5000, 0.0000)
O (0.2650, 0.1129, 0.3863)
O (0.2647, 0.3857, 0.1133)
O (0.2654, 0.6130, 0.8861)
O (0.2654, 0.6470, 0.3823)
O (0.2655, 0.8853, 0.6135)
O (0.2673, 0.1475, 0.8824)
O (0.3080, 0.8322, 0.1100)
O (0.3101, 0.3319, 0.6114)
O (0.6899, 0.6681, 0.3886)
O (0.6920, 0.1678, 0.8900)
O (0.7327, 0.8525, 0.1176)
O (0.7345, 0.1147, 0.3865)
O (0.7346, 0.3530, 0.6177)
O (0.7346, 0.3870, 0.1139)
O (0.7353, 0.6143, 0.8867)
O (0.7350, 0.8871, 0.6137)

---

# 2
Calculated powder diffractogram of Li2Mn3SnO8 for CuKα, from DFT lattice parameters and positions (GGA+U).
No peak broadening, texture or thermal motion is included.

Largest 10 diffraction maxima, low angle first, 10° ≤ 2θ ≤ 90°:
18.05 deg, I 100; 33.94 deg, I 23; 34.71 deg, I 34; 36.57 deg, I 13; 42.05 deg, I 53; 46.70 deg, I 15; 55.63 deg, I 14; 56.15 deg, I 9; 59.98 deg, I 17; 61.97 deg, I 16

Cell: 6.1744 6.1744 6.1744 Å, 58.03 58.03 58.03°
Positions (direct):
Li (0.1218, 0.1218, 0.1218)
Li (0.8782, 0.8782, 0.8782)
Mn (0.0000, 0.5000, 0.5000)
Mn (0.5000, 0.0000, 0.5000)
Mn (0.5000, 0.5000, 0.0000)
Sn (0.5000, 0.5000, 0.5000)
O (0.2580, 0.2580, 0.7214)
O (0.2580, 0.7214, 0.2580)
O (0.2722, 0.2722, 0.2722)
O (0.2786, 0.7420, 0.7420)
O (0.7214, 0.2580, 0.2580)
O (0.7278, 0.7278, 0.7278)
O (0.7420, 0.2786, 0.7420)
O (0.7420, 0.7420, 0.2786)

---

# 3
Calculated powder diffractogram of Li3Mn4SnO8 for CuKα, from DFT lattice parameters and positions (GGA+U).
No peak broadening, texture or thermal motion is included.

Largest 10 diffraction maxima, low angle first, 10° ≤ 2θ ≤ 90°:
17.41 deg, I 56; 17.54 deg, I 100; 33.34 deg, I 22; 33.55 deg, I 25; 34.00 deg, I 24; 35.14 deg, I 35; 35.29 deg, I 17; 40.48 deg, I 52; 40.74 deg, I 51; 41.63 deg, I 48

Cell: 6.2191 6.2523 10.6507 Å, 74.38 74.22 60.61°
Positions (direct):
Li (0.2401, 0.2357, 0.2635)
Li (0.2409, 0.2460, 0.7538)
Li (0.2479, 0.7413, 0.7495)
Li (0.7521, 0.2587, 0.2505)
Li (0.7591, 0.7540, 0.2462)
Li (0.7599, 0.7643, 0.7365)
Mn (0.0000, 0.0000, 0.0000)
Mn (0.0000, 0.0000, 0.5000)
Mn (0.0000, 0.5000, 0.0000)
Mn (0.2506, 0.7554, 0.2511)
Mn (0.5000, 0.0000, 0.5000)
Mn (0.5000, 0.5000, 0.0000)
Mn (0.5000, 0.5000, 0.5000)
Mn (0.7494, 0.2446, 0.7489)
Sn (0.0000, 0.5000, 0.5000)
Sn (0.5000, 0.0000, 0.0000)
O (0.1155, 0.6705, 0.1120)
O (0.1206, 0.6258, 0.6178)
O (0.1249, 0.1423, 0.6200)
O (0.1506, 0.1278, 0.1261)
O (0.3457, 0.8872, 0.8902)
O (0.3571, 0.3807, 0.3758)
O (0.3696, 0.8794, 0.3852)
O (0.3814, 0.3533, 0.8781)
O (0.6186, 0.6467, 0.1219)
O (0.6304, 0.1206, 0.6148)
O (0.6429, 0.6193, 0.6242)
O (0.6543, 0.1128, 0.1098)
O (0.8494, 0.8722, 0.8739)
O (0.8751, 0.8577, 0.3800)
O (0.8794, 0.3742, 0.3822)
O (0.8845, 0.3295, 0.8880)